Entry 1:
This entry pairs a crystal structure of CsLaMg14 with its simulated X-ray diffraction stick pattern. Radiation: Cu Kα. Structure: the PBE geometry in Alexandria.

Most intense lines, 5 to 70 degrees two-theta, sorted by position:
2θ/deg, d (Å), I (rel.)
15.0, 5.922, 51
22.4, 3.968, 52
30.2, 2.961, 32
31.1, 2.880, 20
33.5, 2.672, 23
34.6, 2.590, 100

Atomic structure:
abc: 6.8379 6.8379 10.6893
angles: 90.00 90.00 120.00
Sites, in units of the cell vectors:
1 Cs 0.0000 0.0000 0.0000
2 La 0.0000 0.0000 0.5000
3 Mg 0.0049 0.5024 0.5000
4 Mg 0.0076 0.5038 0.0000
5 Mg 0.1776 0.3552 0.2597
6 Mg 0.1776 0.3552 0.7403
7 Mg 0.1776 0.8224 0.2597
8 Mg 0.1776 0.8224 0.7403
9 Mg 0.4962 0.5038 0.0000
10 Mg 0.4962 0.9924 0.0000
11 Mg 0.4976 0.5024 0.5000
12 Mg 0.4976 0.9951 0.5000
13 Mg 0.6448 0.8224 0.2597
14 Mg 0.6448 0.8224 0.7403
15 Mg 0.6667 0.3333 0.2527
16 Mg 0.6667 0.3333 0.7473

Entry 2:
This entry pairs a crystal structure of La4Tb3Nd with its simulated X-ray diffraction stick pattern. Radiation: Cu Kα. Structure: the PBE geometry in Alexandria.

Most intense lines, 5 to 70 degrees two-theta, sorted by position:
2θ/deg, d (Å), I (rel.)
27.8, 3.209, 24
30.3, 2.953, 25
31.7, 2.820, 100
41.6, 2.173, 16
54.7, 1.678, 21
58.8, 1.569, 23

Atomic structure:
abc: 11.8140 7.4005 6.4269
angles: 90.00 90.00 90.00
Sites, in units of the cell vectors:
1 La 0.0000 0.1278 0.0000
2 La 0.0000 0.8712 0.5115
3 La 0.2455 0.1248 0.3332
4 La 0.2545 0.8752 0.8332
5 La 0.5000 0.1288 0.0115
6 La 0.5000 0.8722 0.5000
7 La 0.7455 0.8752 0.8332
8 La 0.7545 0.1248 0.3332
9 Tb 0.0000 0.3794 0.5027
10 Tb 0.2498 0.3790 0.8348
11 Tb 0.2502 0.6210 0.3348
12 Tb 0.5000 0.6206 0.0027
13 Tb 0.7502 0.3790 0.8348
14 Tb 0.7498 0.6210 0.3348
15 Nd 0.0000 0.6251 0.0039
16 Nd 0.5000 0.3749 0.5039

Entry 3:
This entry pairs a crystal structure of AcPmCuPd with its simulated X-ray diffraction stick pattern. Radiation: Cu Kα. Structure: the PBE geometry in Alexandria.

Most intense lines, 5 to 70 degrees two-theta, sorted by position:
2θ/deg, d (Å), I (rel.)
24.9, 3.573, 32
30.4, 2.938, 100
32.0, 2.800, 24
32.7, 2.740, 39
38.1, 2.359, 54
38.8, 2.320, 29

Atomic structure:
abc: 4.6410 4.0332 11.2001
angles: 90.00 90.00 90.00
Sites, in units of the cell vectors:
1 Ac 0.0000 0.0000 0.0000
2 Ac 0.0000 0.5000 0.5000
3 Pm 0.5000 0.0000 0.7247
4 Pm 0.5000 0.5000 0.2247
5 Cu 0.0000 0.0000 0.2831
6 Cu 0.0000 0.5000 0.7831
7 Pd 0.5000 0.0000 0.4269
8 Pd 0.5000 0.5000 0.9269

Entry 4:
This entry pairs a crystal structure of K2Nb3Br9 with its simulated X-ray diffraction stick pattern. Radiation: Cu Kα. Structure: the PBE geometry in Alexandria.

Most intense lines, 5 to 70 degrees two-theta, sorted by position:
2θ/deg, d (Å), I (rel.)
9.4, 9.422, 74
9.9, 8.928, 64
10.3, 8.550, 100
11.1, 7.937, 72
28.4, 3.142, 62
35.0, 2.564, 72

Atomic structure:
abc: 10.4108 10.4108 10.3613
angles: 102.36 102.36 118.09
Sites, in units of the cell vectors:
1 K 0.0501 0.7293 0.6655
2 K 0.2707 0.9499 0.3345
3 K 0.7293 0.0501 0.6655
4 K 0.9499 0.2707 0.3345
5 Nb 0.2900 0.4567 0.8652
6 Nb 0.3789 0.3789 0.1174
7 Nb 0.4567 0.2900 0.8652
8 Nb 0.5433 0.7100 0.1348
9 Nb 0.6211 0.6211 0.8826
10 Nb 0.7100 0.5433 0.1348
11 Br 0.0021 0.3958 0.6777
12 Br 0.0944 0.3008 0.9789
13 Br 0.1874 0.1874 0.6703
14 Br 0.2162 0.2162 0.2744
15 Br 0.2953 0.7047 0.0000
16 Br 0.3008 0.0944 0.9789
17 Br 0.3898 0.5933 0.6917
18 Br 0.3958 0.0021 0.6777
19 Br 0.4067 0.6102 0.3083
20 Br 0.5933 0.3898 0.6917
21 Br 0.6042 0.9979 0.3223
22 Br 0.6102 0.4067 0.3083
23 Br 0.6992 0.9056 0.0211
24 Br 0.7047 0.2953 0.0000
25 Br 0.7838 0.7838 0.7256
26 Br 0.8126 0.8126 0.3297
27 Br 0.9056 0.6992 0.0211
28 Br 0.9979 0.6042 0.3223

Entry 5:
This entry pairs a crystal structure of Re2WAu with its simulated X-ray diffraction stick pattern. Radiation: Cu Kα. Structure: the PBE geometry in Alexandria.

Most intense lines, 5 to 70 degrees two-theta, sorted by position:
2θ/deg, d (Å), I (rel.)
39.3, 2.291, 100
45.5, 1.995, 33
46.3, 1.962, 16
66.3, 1.411, 11
66.9, 1.399, 21

Atomic structure:
abc: 3.9899 3.9899 3.9234
angles: 90.00 90.00 90.00
Sites, in units of the cell vectors:
1 Re 0.0000 0.5000 0.0000
2 Re 0.5000 0.0000 0.0000
3 W 0.0000 0.0000 0.5000
4 Au 0.5000 0.5000 0.5000

Entry 6:
This entry pairs a crystal structure of Zn2Cr with its simulated X-ray diffraction stick pattern. Radiation: Cu Kα. Structure: the PBE geometry in Alexandria.

Most intense lines, 5 to 70 degrees two-theta, sorted by position:
2θ/deg, d (Å), I (rel.)
40.1, 2.251, 26
41.4, 2.182, 45
42.8, 2.113, 62
45.3, 2.001, 100
58.9, 1.567, 15
69.0, 1.360, 17

Atomic structure:
abc: 2.5445 14.4887 4.3640
angles: 90.00 90.00 90.00
Sites, in units of the cell vectors:
1 Zn 0.0000 0.0583 0.2500
2 Zn 0.0000 0.3837 0.2500
3 Zn 0.0000 0.6163 0.7500
4 Zn 0.0000 0.9417 0.7500
5 Zn 0.5000 0.1163 0.7500
6 Zn 0.5000 0.4417 0.7500
7 Zn 0.5000 0.5583 0.2500
8 Zn 0.5000 0.8837 0.2500
9 Cr 0.0000 0.2777 0.7500
10 Cr 0.0000 0.7223 0.2500
11 Cr 0.5000 0.2223 0.2500
12 Cr 0.5000 0.7777 0.7500

Entry 7:
This entry pairs a crystal structure of TlGa13 with its simulated X-ray diffraction stick pattern. Radiation: Cu Kα. Structure: the PBE geometry in Alexandria.

Most intense lines, 5 to 70 degrees two-theta, sorted by position:
2θ/deg, d (Å), I (rel.)
31.6, 2.833, 50
32.9, 2.726, 49
34.0, 2.636, 53
36.4, 2.468, 100
37.8, 2.378, 74
39.0, 2.309, 37

Atomic structure:
abc: 8.6822 8.6926 9.2754
angles: 66.52 66.54 70.28
Sites, in units of the cell vectors:
1 Tl 0.2191 0.2813 0.2494
2 Tl 0.7809 0.7187 0.7506
3 Ga 0.0000 0.0000 0.0000
4 Ga 0.0511 0.9530 0.3351
5 Ga 0.0547 0.6876 0.9434
6 Ga 0.0859 0.2705 0.6924
7 Ga 0.1870 0.5541 0.4435
8 Ga 0.2037 0.7751 0.5946
9 Ga 0.2280 0.4149 0.8074
10 Ga 0.2754 0.7039 0.0946
11 Ga 0.2992 0.0528 0.0050
12 Ga 0.3180 0.9322 0.7513
13 Ga 0.4328 0.8163 0.2510
14 Ga 0.4472 0.2011 0.4951
15 Ga 0.4526 0.5510 0.8351
16 Ga 0.5000 0.5000 0.5000
17 Ga 0.5474 0.4490 0.1649
18 Ga 0.5528 0.7989 0.5049
19 Ga 0.5672 0.1837 0.7490
20 Ga 0.6820 0.0678 0.2487
21 Ga 0.7008 0.9472 0.9950
22 Ga 0.7246 0.2961 0.9054
23 Ga 0.7720 0.5851 0.1926
24 Ga 0.7963 0.2249 0.4054
25 Ga 0.8130 0.4459 0.5565
26 Ga 0.9141 0.7295 0.3076
27 Ga 0.9453 0.3124 0.0566
28 Ga 0.9489 0.0470 0.6649